Li2VF5: theoretical powder diffraction line list (CuKα), based on the GGA+U geometry in the Materials Project.
No peak broadening, texture or thermal motion is included.

Top 12 peaks for 15° ≤ 2θ ≤ 90°, in order of rising 2θ:
d/Å, I/Imax
4.833, 100.0
4.524, 93.1
3.431, 49.7
2.972, 47.3
2.727, 22.2
2.298, 44.3
2.265, 45.8
2.181, 38.4
1.809, 25.2
1.763, 28.9
1.697, 25.0
1.470, 27.7

Atomic structure:
a = 10.3820 Å, b = 5.1194 Å, c = 7.3022 Å
α = 90.00°, β = 111.39°, γ = 90.00°
Space group C2/c (No. 15)
Asymmetric unit:
Li 0.1419 0.0120 0.2443 x8
V 0.0000 0.5000 0.0000 x4
F 0.0000 0.3143 0.7500 x4
F 0.0838 0.1781 0.4555 x8
F 0.1797 0.3495 0.1475 x8

***

Mg14VFeO16: theoretical powder diffraction line list (CuKα), based on the GGA+U geometry in the Materials Project.
No peak broadening, texture or thermal motion is included.

Top 12 peaks for 15° ≤ 2θ ≤ 90°, in order of rising 2θ:
d/Å, I/Imax
4.276, 6.6
3.825, 6.1
3.024, 5.4
2.469, 25.0
2.140, 100.0
2.134, 49.6
1.513, 56.3
1.510, 28.0
1.291, 4.8
1.289, 4.8
1.288, 4.8
1.234, 25.4

Atomic structure:
a = 4.2684 Å, b = 8.5518 Å, c = 8.5688 Å
α = 90.00°, β = 90.00°, γ = 90.00°
Space group Pmmm (No. 47)
Asymmetric unit:
Mg 0.0000 0.0000 0.0000 x1
Mg 0.0000 0.0000 0.5000 x1
Mg 0.0000 0.2496 0.2492 x4
Mg 0.5000 0.0000 0.2503 x2
Mg 0.5000 0.2475 0.0000 x2
Mg 0.5000 0.2488 0.5000 x2
Mg 0.5000 0.5000 0.2511 x2
V 0.0000 0.5000 0.5000 x1
Fe 0.0000 0.5000 0.0000 x1
O 0.0000 0.0000 0.2503 x2
O 0.0000 0.2437 0.0000 x2
O 0.0000 0.2444 0.5000 x2
O 0.0000 0.5000 0.2493 x2
O 0.5000 0.0000 0.0000 x1
O 0.5000 0.0000 0.5000 x1
O 0.5000 0.2511 0.2498 x4
O 0.5000 0.5000 0.0000 x1
O 0.5000 0.5000 0.5000 x1

***

BaFe2P4O14: theoretical powder diffraction line list (CuKα), based on the GGA+U geometry in the Materials Project.
No peak broadening, texture or thermal motion is included.

Top 12 peaks for 15° ≤ 2θ ≤ 90°, in order of rising 2θ:
d/Å, I/Imax
5.469, 35.0
3.763, 59.1
3.560, 100.0
3.361, 71.0
3.242, 56.0
3.129, 78.6
3.053, 39.8
2.939, 51.4
2.735, 38.6
2.658, 43.5
2.614, 36.7
2.506, 39.9

Atomic structure:
a = 10.7401 Å, b = 10.6273 Å, c = 9.8531 Å
α = 90.00°, β = 103.23°, γ = 90.00°
Space group C2/c (No. 15)
Asymmetric unit:
Ba 0.2500 0.2500 0.0000 x4
Fe 0.0000 0.0000 0.0000 x4
Fe 0.0000 0.4531 0.2500 x4
P 0.0606 0.3103 0.5557 x8
P 0.2193 0.0430 0.2985 x8
O 0.0245 0.1743 0.5812 x8
O 0.0328 0.3992 0.8929 x8
O 0.0650 0.3336 0.4047 x8
O 0.1287 0.0815 0.1615 x8
O 0.1523 0.0048 0.4126 x8
O 0.1809 0.4431 0.2138 x8
O 0.2016 0.3269 0.6562 x8